Structure and theoretical powder diffractogram of Li2Ti2CrO6 (a crystal structure in Alexandria, relaxed with GGA+U; copper Kα).
Intensities are scaled so that the largest is 100.

The 6 most intense peaks (2θ = 10–90°), low angle first:
2θ (°), I_rel
18.55, 100
20.98, 21
30.86, 35
36.25, 14
44.06, 15
46.66, 29

Structural model:
Cell: 5.7952 5.7952 15.7705 Å, 90.00 90.00 120.00°
Space group R-3m (No. 166, hexagonal axes)
Unique sites:
Li (0.0000, 0.0000, 0.0892) x6
Ti (0.0000, 0.0000, 0.3468) x6
Cr (0.0000, 0.0000, 0.5000) x3
O (0.0324, 0.5162, 0.2561) x18